The following is a calculated powder diffraction line list of Tm2ThSc8. It was derived from DFT lattice parameters and positions (PBE), using copper Kα.

Largest 6 diffraction maxima, in order of falling intensity, 5° ≤ 2θ ≤ 70°:
2theta	d_spacing	I/Imax
23.73	3.750	100
32.37	2.765	86
31.54	2.837	81
21.10	4.210	51
39.55	2.279	50
17.26	5.136	43

Structure:
Lattice parameters (Å, degrees): 9.1399 9.1399 9.1399 145.50 136.28 56.85
Sites, in units of the cell vectors:
Tm  0.1895  0.1895  0.0000
Tm  0.8105  0.8105  0.0000
Th  0.5000  0.0000  0.5000
Sc  0.0000  0.2423  0.2423
Sc  0.0000  0.7577  0.7577
Sc  0.1478  0.3712  0.7766
Sc  0.2970  0.7970  0.5000
Sc  0.4054  0.6288  0.7766
Sc  0.5946  0.3712  0.2234
Sc  0.7030  0.2030  0.5000
Sc  0.8522  0.6288  0.2234